1.
Calculated powder X-ray diffraction pattern of Nb5As4Pd4 for λ = 1.5418 Å (Cu Kα), from a GGA-PBE-relaxed structure.
No peak broadening, texture or thermal motion is included.

Structural model:
```
Nb5As4Pd4
1.0
-5.3088 5.3088 1.9089
5.3088 -5.3088 1.9089
5.3088 5.3088 -1.9089
Nb As Pd
5 4 4
Cartesian
0.0000 0.0000 0.0000
6.5646 3.3132 0.0000
3.3132 4.0530 0.0000
1.9956 1.2558 1.9089
-1.2558 1.9956 1.9089
8.0276 0.7001 0.0000
0.7001 2.5900 0.0000
4.6087 2.7188 1.9089
-2.7188 4.6087 1.9089
4.2875 1.1830 0.0000
4.1258 -1.0213 1.9089
1.1830 6.3301 0.0000
1.0213 4.1258 1.9089
```

Peak list (6 most intense, 2θ = 5–70°, by intensity)
- d 2.332, 38.61°, I = 1000
- d 2.135, 42.34°, I = 254
- d 2.082, 43.46°, I = 227
- d 1.909, 47.64°, I = 212
- d 2.595, 34.56°, I = 189
- d 1.362, 68.92°, I = 155

2.
Calculated powder X-ray diffraction pattern of Ge for λ = 1.5418 Å (Cu Kα), from a GGA-PBE-relaxed structure.
No peak broadening, texture or thermal motion is included.

Structural model:
```
Ge
1.0
2.9911 0.0000 0.0000
-1.4956 2.5904 0.0000
0.0000 0.0000 5.0034
Ge
2
Cartesian
0.0000 1.7269 1.2508
1.4956 0.8635 3.7525
```

Peak list (6 most intense, 2θ = 5–70°, by intensity)
- d 2.300, 39.16°, I = 1000
- d 2.502, 35.90°, I = 283
- d 2.590, 34.63°, I = 235
- d 1.402, 66.70°, I = 201
- d 1.496, 62.06°, I = 167
- d 1.800, 50.73°, I = 156

3.
Calculated powder X-ray diffraction pattern of Ba4Sm4Zn3PtO15 for λ = 1.5418 Å (Cu Kα), from a GGA-PBE-relaxed structure.
No peak broadening, texture or thermal motion is included.

Structural model:
```
Ba4Sm4Zn3PtO15
1.0
11.8207 0.0000 0.0000
-5.9104 10.2370 0.0000
0.0000 0.0000 6.7995
Ba Sm Zn Pt O
8 8 6 2 30
Cartesian
0.0000 3.5356 0.0000
-2.8484 8.4692 0.0000
0.0000 6.8247 4.6189
3.0619 1.7678 3.3998
2.8484 8.4692 0.0000
5.9104 3.4123 1.2192
8.7588 1.7678 3.3998
5.9104 6.7014 3.3998
0.0000 0.0000 1.2538
0.0000 0.0000 4.6536
-2.5544 5.3499 2.3158
2.5544 5.3499 2.3158
0.0000 9.7743 2.3158
5.9104 0.4628 5.7155
3.3560 4.8871 5.7155
8.4648 4.8871 5.7155
0.0000 3.5068 3.5168
-2.8734 8.4836 3.5168
3.0370 1.7534 0.1170
2.8734 8.4836 3.5168
8.7837 1.7534 0.1170
5.9103 6.7302 0.1170
0.0000 6.8247 1.0695
5.9104 3.4123 4.4692
-1.6736 4.0520 4.3652
-3.2380 6.7616 4.3652
0.0000 1.6930 2.8106
-4.4441 9.3905 2.8106
1.4662 0.8465 6.2104
-1.4951 5.9615 6.7874
0.0000 5.1393 2.2496
-1.4596 7.6674 2.2496
1.6736 4.0520 4.3652
-1.5644 9.6604 4.3652
4.3459 0.5766 0.9655
2.6723 3.4754 0.9655
1.4951 5.9615 6.7874
0.0000 8.5510 6.7874
1.4596 7.6674 2.2496
4.4508 2.5696 5.6493
5.9104 1.6860 3.3876
4.4153 4.2755 3.3876
3.2380 6.7616 4.3652
1.5644 9.6604 4.3652
7.4748 0.5766 0.9655
4.2367 6.1850 0.9655
7.3699 2.5696 5.6493
5.9104 5.0977 5.6493
7.4054 4.2755 3.3876
4.4441 9.3905 2.8106
10.3545 0.8465 6.2104
5.9104 8.5440 6.2104
9.1484 3.4754 0.9655
7.5840 6.1850 0.9655
```

Peak list (6 most intense, 2θ = 5–70°, by intensity)
- d 2.953, 30.27°, I = 1000
- d 2.832, 31.59°, I = 290
- d 2.408, 37.34°, I = 265
- d 1.867, 48.78°, I = 182
- d 1.477, 62.92°, I = 171
- d 1.706, 53.74°, I = 164

4.
Calculated powder X-ray diffraction pattern of ZnSnBiO5 for λ = 1.5418 Å (Cu Kα), from a GGA-PBE-relaxed structure.
No peak broadening, texture or thermal motion is included.

Structural model:
```
ZnSnBiO5
1.0
5.3328 0.0000 0.0000
0.0000 11.1579 0.0000
-2.5753 0.0000 8.4264
Zn Sn Bi O
4 4 4 20
Cartesian
-0.2408 1.1847 1.2147
-1.5284 4.3942 5.4279
4.2859 6.7637 2.9985
2.9983 9.9731 7.2116
1.7751 6.8306 0.5919
0.4874 9.9062 4.8051
2.2701 1.2517 3.6213
0.9824 4.3272 7.8345
0.1813 1.1992 7.1368
1.4690 4.3797 2.9236
1.2886 6.7781 5.5028
2.5762 9.9587 1.2896
0.2975 5.9721 1.6726
-0.9902 10.7647 5.8858
-0.1198 8.0435 4.2591
1.1678 8.6933 0.0460
1.3624 0.3667 0.2366
0.0747 5.2123 4.4498
0.8930 2.2567 2.4874
-0.3947 3.3222 6.7006
-0.0390 6.1732 7.2489
1.2486 10.5636 3.0357
1.5089 0.5943 5.3907
2.7965 4.9847 1.1775
3.1522 7.8356 1.7258
1.8646 8.9012 5.9389
2.6828 5.9456 3.9765
1.3951 10.7912 8.1897
1.5897 2.4646 8.3804
2.8774 3.1143 4.1672
3.7477 0.3931 2.5406
2.4601 5.1858 6.7537
```

Peak list (6 most intense, 2θ = 5–70°, by intensity)
- d 3.637, 24.48°, I = 1000
- d 3.190, 27.97°, I = 955
- d 5.100, 17.39°, I = 674
- d 2.789, 32.09°, I = 556
- d 2.674, 33.51°, I = 535
- d 3.942, 22.56°, I = 338

5.
Calculated powder X-ray diffraction pattern of CaTi2Zn2P2O10 for λ = 1.5418 Å (Cu Kα), from a GGA-PBE-relaxed structure.
No peak broadening, texture or thermal motion is included.

Structural model:
```
CaTi2Zn2P2O10
1.0
5.5177 0.0000 0.0000
-1.9038 5.8186 0.0000
-1.8002 -2.5292 6.5160
Ca Ti Zn P O
1 2 2 2 10
Cartesian
0.0000 0.0000 0.0000
0.5960 0.0354 6.2854
2.6808 4.4304 3.1789
-0.9129 2.7966 1.3367
3.0457 0.4506 5.2596
-0.1385 3.0057 4.4858
1.8471 0.0498 2.1285
-0.8513 -0.8355 5.1834
-1.3244 3.0226 3.4784
0.5148 -0.0316 2.9391
-0.0413 4.6933 1.1355
-0.0974 1.7072 5.3161
1.7304 1.3408 1.2824
1.6583 -1.6451 5.5056
1.2369 3.1420 3.7757
3.1020 0.0374 3.0536
2.7037 3.8939 1.3832
```

Peak list (6 most intense, 2θ = 5–70°, by intensity)
- d 5.194, 17.07°, I = 1000
- d 2.919, 30.63°, I = 847
- d 2.959, 30.20°, I = 799
- d 2.638, 33.98°, I = 770
- d 2.904, 30.79°, I = 762
- d 2.431, 36.97°, I = 721

6.
Calculated powder X-ray diffraction pattern of CeCdIn for λ = 1.5418 Å (Cu Kα), from a GGA-PBE-relaxed structure.
No peak broadening, texture or thermal motion is included.

Structural model:
```
CeCdIn
1.0
4.9997 0.0000 0.0000
-2.4999 4.3299 0.0000
0.0000 0.0000 7.3493
Ce Cd In
2 2 2
Cartesian
0.0000 0.0000 1.7644
0.0000 0.0000 5.5849
0.0000 2.8866 0.1517
2.4999 1.4433 7.1977
0.0000 2.8866 3.3698
2.4999 1.4433 3.9795
```

Peak list (6 most intense, 2θ = 5–70°, by intensity)
- d 2.802, 31.94°, I = 1000
- d 2.500, 35.92°, I = 831
- d 1.865, 48.82°, I = 301
- d 1.495, 62.08°, I = 288
- d 1.480, 62.76°, I = 198
- d 1.443, 64.57°, I = 144